Entry 1:
Diffraction record for NaLiSiB3HO8. The powder diffractogram is calculated, not measured: it uses DFT lattice parameters and positions (GGA-PBE) and Cu Kα X-rays.
Peak positions follow from Bragg's law for the DFT cell and can differ from measured ones.

Main lines, in order of falling intensity (10° ≤ 2θ ≤ 80°):
index  d/Å  2theta  I_rel
0 2 1  4.729  18.77  100
2 0 -2  3.195  27.92  83
0 0 2  3.212  27.78  74
1 3 -2  2.990  29.88  73
3 0 -2  2.276  39.61  64
0 2 0  7.005  12.64  55
1 3 -1  3.773  23.58  42
1 2 0  4.392  20.22  37

Structure:
a = 6.8341 Å, b = 14.0101 Å, c = 7.7859 Å
α = 90.00°, β = 124.41°, γ = 90.00°
Atoms (fractional coordinates):
Na: 0.0251 0.0081 0.2435
Na: 0.0251 0.4919 0.7435
Na: 0.9749 0.5081 0.2565
Na: 0.9749 0.9919 0.7565
Li: 0.4612 0.1990 0.1268
Li: 0.4612 0.3010 0.6268
Li: 0.5388 0.6990 0.3732
Li: 0.5388 0.8010 0.8732
Si: 0.0420 0.7474 0.7091
Si: 0.0420 0.7526 0.2092
Si: 0.9580 0.2474 0.7909
Si: 0.9580 0.2526 0.2908
B: 0.2345 0.1528 0.6833
B: 0.2345 0.3472 0.1833
B: 0.3172 0.6510 0.5843
B: 0.3172 0.8490 0.0843
B: 0.4632 0.0070 0.7159
B: 0.4632 0.4930 0.2159
B: 0.5368 0.5070 0.7841
B: 0.5368 0.9930 0.2841
B: 0.6828 0.1510 0.9157
B: 0.6828 0.3490 0.4157
B: 0.7655 0.6528 0.8167
B: 0.7655 0.8472 0.3167
H: 0.3059 0.6123 0.0561
H: 0.3059 0.8877 0.5561
H: 0.6941 0.1123 0.4439
H: 0.6941 0.3877 0.9439
O: 0.0320 0.1543 0.7079
O: 0.0320 0.3457 0.2079
O: 0.1247 0.6588 0.3613
O: 0.1247 0.8412 0.8613
O: 0.1874 0.2225 0.5204
O: 0.1874 0.2775 0.0204
O: 0.2486 0.0532 0.6184
O: 0.2486 0.4468 0.1184
O: 0.2718 0.7151 0.7095
O: 0.2718 0.7849 0.2095
O: 0.3191 0.5476 0.6453
O: 0.3191 0.9524 0.1453
O: 0.4553 0.1750 0.8797
O: 0.4553 0.3250 0.3797
O: 0.4637 0.5896 0.1694
O: 0.4637 0.9104 0.6694
O: 0.5363 0.0896 0.3306
O: 0.5363 0.4104 0.8306
O: 0.5447 0.6750 0.6203
O: 0.5447 0.8250 0.1203
O: 0.6809 0.0476 0.8547
O: 0.6809 0.4524 0.3547
O: 0.7282 0.2151 0.7905
O: 0.7282 0.2849 0.2905
O: 0.7514 0.5532 0.8816
O: 0.7514 0.9468 0.3816
O: 0.8126 0.7225 0.9796
O: 0.8126 0.7775 0.4796
O: 0.8753 0.1588 0.1387
O: 0.8753 0.3412 0.6387
O: 0.9680 0.6543 0.7921
O: 0.9680 0.8457 0.2921

Entry 2:
Diffraction record for LiBH16O10. The powder diffractogram is calculated, not measured: it uses DFT lattice parameters and positions (GGA-PBE) and Cu Kα X-rays.
Peak positions follow from Bragg's law for the DFT cell and can differ from measured ones.

Main lines, in order of falling intensity (10° ≤ 2θ ≤ 80°):
index  d/Å  2theta  I_rel
1 1 -2  2.910  30.73  100
2 0 0  3.008  29.70  64
1 -2 1  2.880  31.06  51
0 1 1  3.368  26.46  24
0 2 -1  3.249  27.45  20
2 2 -2  2.049  44.20  19
0 0 1  5.843  15.16  18
0 2 -2  2.818  31.75  18

Structure:
a = 6.0172 Å, b = 6.4994 Å, c = 6.6357 Å
α = 118.27°, β = 90.27°, γ = 91.02°
Atoms (fractional coordinates):
Li: 0.0000 0.0000 0.0000
B: 0.4236 0.3307 0.6720
H: 0.0146 0.2924 0.8507
H: 0.0150 0.5686 0.7224
H: 0.1055 0.2249 0.5213
H: 0.2714 0.6723 0.3507
H: 0.3943 0.0940 0.1708
H: 0.3954 0.0675 0.9182
H: 0.4227 0.6893 0.8854
H: 0.4917 0.9871 0.5867
H: 0.4931 0.6478 0.2171
H: 0.5018 0.4243 0.4240
H: 0.7584 0.1237 0.3599
H: 0.7591 0.2297 0.8666
H: 0.7607 0.6348 0.7784
H: 0.9108 0.9013 0.3153
H: 0.9317 0.6654 0.4775
H: 0.9371 0.5131 0.1989
O: 0.1748 0.3396 0.6690
O: 0.3291 0.0009 0.0134
O: 0.4377 0.6841 0.3691
O: 0.5045 0.1443 0.7209
O: 0.5112 0.2824 0.4420
O: 0.5112 0.5524 0.8582
O: 0.9037 0.0470 0.2998
O: 0.9047 0.6914 0.7442
O: 0.9062 0.2618 0.9489
O: 0.9856 0.6637 0.3338

Entry 3:
Diffraction record for LiBH6O. The powder diffractogram is calculated, not measured: it uses DFT lattice parameters and positions (GGA-PBE) and Cu Kα X-rays.
Peak positions follow from Bragg's law for the DFT cell and can differ from measured ones.

Main lines, in order of falling intensity (10° ≤ 2θ ≤ 80°):
index  d/Å  2theta  I_rel
0 1 1  5.183  17.11  100
1 0 -2  4.727  18.77  77
2 0 0  2.788  32.10  65
1 0 0  5.581  15.88  61
1 1 -2  3.792  23.46  46
1 1 -3  2.973  30.06  36
0 2 1  2.993  29.85  34
0 1 2  3.664  24.30  28

Structure:
a = 6.2999 Å, b = 6.3508 Å, c = 10.1259 Å
α = 90.00°, β = 117.65°, γ = 90.00°
Atoms (fractional coordinates):
Li: 0.0073 0.0804 0.1370
Li: 0.0073 0.4196 0.6370
Li: 0.9927 0.5804 0.3630
Li: 0.9927 0.9196 0.8630
B: 0.2078 0.0896 0.7380
B: 0.2078 0.4104 0.2380
B: 0.7922 0.5896 0.7620
B: 0.7922 0.9104 0.2620
H: 0.0062 0.6059 0.7969
H: 0.0062 0.8941 0.2969
H: 0.2066 0.7186 0.1167
H: 0.2066 0.7814 0.6167
H: 0.2253 0.0344 0.6275
H: 0.2253 0.4656 0.1275
H: 0.3056 0.2385 0.2790
H: 0.3056 0.2615 0.7790
H: 0.3056 0.5356 0.3410
H: 0.3056 0.9644 0.8410
H: 0.3792 0.6013 0.6254
H: 0.3792 0.8987 0.1254
H: 0.6208 0.1013 0.8746
H: 0.6208 0.3987 0.3746
H: 0.6944 0.0356 0.1590
H: 0.6944 0.4644 0.6590
H: 0.6944 0.7385 0.2210
H: 0.6944 0.7615 0.7210
H: 0.7747 0.5344 0.8725
H: 0.7747 0.9656 0.3725
H: 0.7934 0.2186 0.3833
H: 0.7934 0.2814 0.8833
H: 0.9938 0.1059 0.7031
H: 0.9938 0.3941 0.2031
O: 0.2077 0.6323 0.5868
O: 0.2077 0.8677 0.0868
O: 0.7923 0.1323 0.9132
O: 0.7923 0.3677 0.4132